Entry 1:
# MgFe12O12F12
Calculated powder diffractogram, λ = 1.5418 Å (Cu Kα). Input: a DFT-relaxed cell (PBE+U, the Materials Project).
Peak positions follow from Bragg's law for the DFT cell and can differ from measured ones.

Principal peaks in the range 5° ≤ 2θ ≤ 70°, low angle first:
| two_theta | I (rel.) | hkl |
| --- | --- | --- |
| 25.27 | 867 | 2 0 -3 |
| 26.26 | 1000 | 2 0 3 |
| 29.79 | 296 | 2 0 -4 |
| 34.00 | 624 | 0 1 3 |
| 34.24 | 586 | 2 1 0 |
| 51.84 | 335 | 4 1 3 |

a b c (Å): 9.6721 3.1157 14.8557
angles (deg): 90.00 92.18 90.00
Space group Pm (No. 6)
One atom of each set of equivalent atoms:
Mg 0.0000 0.0000 0.0000
Fe 0.2330 0.0000 0.3304
Fe 0.2360 0.0000 0.6595
Fe 0.3385 0.0000 0.9814
Fe 0.4405 0.5000 0.1770
Fe 0.4705 0.5000 0.4739
Fe 0.4732 0.5000 0.8038
Fe 0.6980 0.0000 0.0002
Fe 0.7194 0.0000 0.3423
Fe 0.7442 0.0000 0.6441
Fe 0.9576 0.5000 0.4893
Fe 0.9622 0.5000 0.2111
Fe 0.9826 0.5000 0.7818
O 0.0681 0.0000 0.2392
O 0.1423 0.5000 0.7129
O 0.3170 0.5000 0.2746
O 0.3651 0.5000 0.9078
O 0.3667 0.0000 0.4347
O 0.3729 0.0000 0.1103
O 0.3974 0.0000 0.7428
O 0.6232 0.5000 0.3975
O 0.8003 0.5000 0.2711
O 0.8300 0.5000 0.5920
O 0.8746 0.0000 0.7520
O 0.8815 0.0000 0.4310
F 0.0593 0.0000 0.8757
F 0.0822 0.0000 0.5560
F 0.1005 0.5000 0.0425
F 0.1227 0.5000 0.3987
F 0.3257 0.5000 0.5898
F 0.5634 0.0000 0.2325
F 0.5713 0.0000 0.5597
F 0.6070 0.0000 0.8747
F 0.6112 0.5000 0.0656
F 0.6371 0.5000 0.7138
F 0.8513 0.5000 0.9552
F 0.8738 0.0000 0.1026

***

Entry 2:
# MgFe6O6F6
Calculated powder diffractogram, λ = 1.5418 Å (Cu Kα). Input: a DFT-relaxed cell (PBE+U, the Materials Project).
Peak positions follow from Bragg's law for the DFT cell and can differ from measured ones.

Principal peaks in the range 5° ≤ 2θ ≤ 70°, low angle first:
| two_theta | I (rel.) | hkl |
| --- | --- | --- |
| 22.72 | 1000 | -1 1 1 |
| 27.19 | 896 | 1 1 -1 |
| 34.47 | 324 | 1 -2 2 |
| 34.61 | 321 | 1 0 2 |
| 34.78 | 489 | 0 1 -3 |
| 53.28 | 346 | 1 2 -4 |

a b c (Å): 5.8848 6.0020 7.8565
angles (deg): 106.99 98.91 113.01
Space group P1 (No. 1)
One atom of each set of equivalent atoms:
Mg 0.0000 0.0000 0.0000
Fe 0.0350 0.0220 0.5083
Fe 0.2897 0.5509 0.3674
Fe 0.3597 0.9569 0.7969
Fe 0.6297 0.0098 0.1901
Fe 0.6718 0.4477 0.6442
Fe 0.9958 0.4985 0.0036
O 0.0265 0.6967 0.8264
O 0.2309 0.8088 0.5364
O 0.3231 0.3297 0.5000
O 0.3477 0.6838 0.1719
O 0.6355 0.2924 0.8284
O 0.9513 0.2880 0.1671
F 0.0709 0.1829 0.8185
F 0.3864 0.1467 0.0822
F 0.5985 0.8191 0.8719
F 0.7054 0.7113 0.4967
F 0.7773 0.2111 0.4817
F 0.9227 0.8038 0.1718

***

Entry 3:
# MgFe8O14F2
Calculated powder diffractogram, λ = 1.5418 Å (Cu Kα). Input: a DFT-relaxed cell (PBE+U, the Materials Project).
Peak positions follow from Bragg's law for the DFT cell and can differ from measured ones.

Principal peaks in the range 5° ≤ 2θ ≤ 70°, low angle first:
| two_theta | I (rel.) | hkl |
| --- | --- | --- |
| 25.97 | 1000 | 1 -1 0 |
| 26.21 | 970 | 1 1 0 |
| 35.51 | 515 | 1 0 -4 |
| 35.71 | 496 | 1 0 4 |
| 52.30 | 688 | 1 2 -4 |
| 52.45 | 254 | 2 -1 4 |

a b c (Å): 4.8213 4.8391 11.8254
angles (deg): 90.29 90.41 90.52
Space group P1 (No. 1)
One atom of each set of equivalent atoms:
Mg 0.0000 0.0000 0.0000
Fe 0.0300 0.5237 0.2559
Fe 0.4629 0.0270 0.6280
Fe 0.4930 0.9894 0.3863
Fe 0.4978 0.0000 0.8719
Fe 0.4986 0.9938 0.1291
Fe 0.9941 0.4990 0.0040
Fe 0.9970 0.4912 0.4990
Fe 0.9992 0.4987 0.7571
O 0.1545 0.2811 0.8873
O 0.1611 0.2811 0.1194
O 0.1660 0.3161 0.6298
O 0.1954 0.3041 0.3767
O 0.2957 0.8106 0.5115
O 0.3074 0.8103 0.7533
O 0.3327 0.8075 0.2547
O 0.3364 0.7891 0.9972
O 0.6617 0.2090 0.9996
O 0.6682 0.2004 0.7532
O 0.6761 0.1923 0.5081
O 0.8129 0.6949 0.3794
O 0.8363 0.7186 0.8861
O 0.8464 0.7270 0.1199
F 0.6924 0.2128 0.2521
F 0.7952 0.6986 0.6322